This entry pairs a crystal structure of SmBiOs with its computed powder diffractogram. Radiation: Cu Ka. Structure: a cell relaxed with PBE.
Lines closer than 0.1° are merged.

Structure:
```
SmBiOs
1.0
6.7623 0.0000 0.0000
0.0000 6.7623 0.0000
0.0000 0.0000 6.7623
Sm Bi Os
4 4 4
Cartesian
0.0000 0.0000 0.0000
0.0000 3.3812 3.3812
3.3812 0.0000 3.3812
3.3812 3.3812 0.0000
0.0000 0.0000 3.3812
0.0000 3.3812 0.0000
3.3812 0.0000 0.0000
3.3812 3.3812 3.3812
1.6906 1.6906 5.0717
1.6906 5.0717 1.6906
5.0717 1.6906 1.6906
5.0717 5.0717 5.0717
```

Most intense lines, 10° ≤ 2θ ≤ 80°, sorted by position:
2θ 22.78, I 30.6, (1 1 1)
2θ 26.36, I 12.3, (2 0 0)
2θ 37.62, I 100.0, (2 2 0)
2θ 44.43, I 16.3, (3 1 1)
2θ 46.52, I 3.6, (2 2 2)
2θ 54.26, I 17.7, (4 0 0)
2θ 59.59, I 6.9, (3 3 1)
2θ 61.31, I 4.9, (4 2 0)
2θ 67.90, I 36.4, (4 2 2)
2θ 72.65, I 5.2, (5 1 1)